Starting from a DFT-relaxed cell (GGA-PBE, Alexandria), the powder X-ray diffraction pattern of Nd2GePIr6 was computed for Cu Kα (λ = 1.5418 Å).
Peak positions follow from Bragg's law for the DFT cell and can differ from measured ones.

Main lines, in order of rising 2θ (2θ = 10–80°):
- hkl 0 0 1, 10.99 deg, d = 8.052 Å, I = 36
- hkl 0 2 2, 30.21 deg, d = 2.958 Å, I = 60
- hkl 1 2 2, 34.50 deg, d = 2.600 Å, I = 38
- hkl 2 2 0, 38.99 deg, d = 2.310 Å, I = 100
- hkl 2 0 2, 39.96 deg, d = 2.256 Å, I = 48
- hkl 0 4 0, 41.41 deg, d = 2.180 Å, I = 56
- hkl 1 2 3, 42.91 deg, d = 2.108 Å, I = 48
- hkl 2 2 2, 45.25 deg, d = 2.004 Å, I = 40

Structure:
```
20
Lattice="5.4480 0.0000 0.0000 0.0000 8.7213 0.0000 0.0000 0.0000 8.0525" Properties=species:S:1:pos:R:3 pbc="T T T"
Nd 1.3620 0.1489 1.7204
Nd 1.3620 4.2117 1.7204
Nd 4.0860 4.5096 6.3320
Nd 4.0860 8.5724 6.3320
Ge 1.3620 6.5410 6.1244
Ge 4.0860 2.1803 1.9281
P 1.3620 2.1803 6.0373
P 4.0860 6.5410 2.0151
Ir 0.0503 6.5410 0.1988
Ir 0.0465 6.5410 3.8612
Ir 1.3620 4.3795 4.7735
Ir 1.3620 8.7025 4.7735
Ir 2.6737 6.5410 0.1988
Ir 2.6775 6.5410 3.8612
Ir 2.7705 2.1803 4.1913
Ir 2.7743 2.1803 7.8536
Ir 4.0860 0.0188 3.2790
Ir 4.0860 4.3418 3.2790
Ir 5.4015 2.1803 4.1913
Ir 5.3977 2.1803 7.8536
```